Record 1
TbSc3S4: theoretical powder X-ray diffraction pattern (CuKα), based on a crystal structure in Alexandria, relaxed with GGA-PBE.
Peak positions follow from Bragg's law for the DFT cell and can differ from measured ones.

The 10 most intense peaks (10 to 90 degrees two-theta), low angle first:
| 2θ/deg | intensity |
| --- | --- |
| 14.4 | 29.2 |
| 16.7 | 12.6 |
| 27.9 | 15.8 |
| 29.0 | 13.8 |
| 29.2 | 13.5 |
| 33.8 | 100.0 |
| 48.2 | 11.3 |
| 48.5 | 44.7 |
| 60.2 | 11.2 |
| 80.9 | 18.8 |

Cell and atoms:
```
TbSc3S4
1.0
7.5471 0.0000 0.0000
0.0000 10.6270 0.0000
0.0000 0.0000 3.7366
Tb Sc S
2 6 8
direct
0.0000 0.0000 0.0000
0.5000 0.5000 0.0000
0.0000 0.5000 0.0000
0.2500 0.2500 0.5000
0.2500 0.7500 0.5000
0.5000 0.0000 0.0000
0.7500 0.2500 0.5000
0.7500 0.7500 0.5000
0.0000 0.2561 0.0000
0.0000 0.7439 0.0000
0.2376 0.5000 0.5000
0.2624 0.0000 0.5000
0.5000 0.2439 0.0000
0.5000 0.7561 0.0000
0.7376 0.0000 0.5000
0.7624 0.5000 0.5000
```

Record 2
LaAl20V2: theoretical powder X-ray diffraction pattern (CuKα), based on a crystal structure in Alexandria, relaxed with GGA-PBE.
Peak positions follow from Bragg's law for the DFT cell and can differ from measured ones.

The 10 most intense peaks (10 to 90 degrees two-theta), low angle first:
| 2θ/deg | intensity |
| --- | --- |
| 17.2 | 48.2 |
| 20.2 | 84.3 |
| 34.8 | 45.6 |
| 36.4 | 100.0 |
| 39.0 | 67.5 |
| 40.5 | 94.6 |
| 41.0 | 71.7 |
| 53.3 | 44.4 |
| 73.4 | 42.6 |
| 77.1 | 25.7 |

Cell and atoms:
```
LaAl20V2
1.0
0.0000 7.2944 7.2944
7.2944 0.0000 7.2944
7.2944 7.2944 0.0000
La Al V
2 40 4
direct
0.1250 0.1250 0.1250
0.8750 0.8750 0.8750
0.0000 0.0000 0.0000
0.0000 0.0000 0.5000
0.0000 0.5000 0.0000
0.0569 0.3263 0.3263
0.0569 0.3263 0.7904
0.0569 0.7904 0.3263
0.2096 0.6737 0.6737
0.2096 0.6737 0.9431
0.2096 0.9431 0.6737
0.2374 0.2374 0.5126
0.2374 0.5126 0.2374
0.2374 0.5126 0.5126
0.3263 0.0569 0.3263
0.3263 0.0569 0.7904
0.3263 0.3263 0.0569
0.3263 0.3263 0.7904
0.3263 0.7904 0.0569
0.3263 0.7904 0.3263
0.4874 0.4874 0.7626
0.4874 0.7626 0.4874
0.4874 0.7626 0.7626
0.5000 0.0000 0.0000
0.5126 0.2374 0.2374
0.5126 0.2374 0.5126
0.5126 0.5126 0.2374
0.6737 0.2096 0.6737
0.6737 0.2096 0.9431
0.6737 0.6737 0.2096
0.6737 0.6737 0.9431
0.6737 0.9431 0.2096
0.6737 0.9431 0.6737
0.7626 0.4874 0.4874
0.7626 0.4874 0.7626
0.7626 0.7626 0.4874
0.7904 0.0569 0.3263
0.7904 0.3263 0.0569
0.7904 0.3263 0.3263
0.9431 0.2096 0.6737
0.9431 0.6737 0.2096
0.9431 0.6737 0.6737
0.0000 0.5000 0.5000
0.5000 0.0000 0.5000
0.5000 0.5000 0.0000
0.5000 0.5000 0.5000
```

Record 3
Li3PmS4O12: theoretical powder X-ray diffraction pattern (CuKα), based on a crystal structure in Alexandria, relaxed with GGA-PBE.
Peak positions follow from Bragg's law for the DFT cell and can differ from measured ones.

The 10 most intense peaks (10 to 90 degrees two-theta), low angle first:
| 2θ/deg | intensity |
| --- | --- |
| 15.3 | 80.3 |
| 17.3 | 100.0 |
| 25.5 | 34.1 |
| 29.0 | 32.6 |
| 30.1 | 39.9 |
| 31.0 | 84.3 |
| 35.7 | 66.3 |
| 38.3 | 54.7 |
| 39.7 | 30.3 |
| 50.8 | 22.8 |

Cell and atoms:
```
Li3PmS4O12
1.0
5.1404 2.9678 2.5287
-5.1404 2.9678 2.5287
0.0000 -5.9356 2.5287
Li Pm S O
3 1 4 12
direct
0.0000 0.5793 0.4207
0.4207 0.0000 0.5793
0.5793 0.4207 0.0000
0.0000 0.0000 0.0000
0.1085 0.5000 0.8915
0.5000 0.5000 0.5000
0.5000 0.8915 0.1085
0.8915 0.1085 0.5000
0.0172 0.6587 0.7536
0.0392 0.9608 0.5000
0.2464 0.3413 0.9828
0.3413 0.9828 0.2464
0.3606 0.6394 0.5000
0.5000 0.0392 0.9608
0.5000 0.3606 0.6394
0.6394 0.5000 0.3606
0.6587 0.7536 0.0172
0.7536 0.0172 0.6587
0.9608 0.5000 0.0392
0.9828 0.2464 0.3413
```

Record 4
Tb7HoAl5: theoretical powder X-ray diffraction pattern (CuKα), based on a crystal structure in Alexandria, relaxed with GGA-PBE.
Peak positions follow from Bragg's law for the DFT cell and can differ from measured ones.

The 10 most intense peaks (10 to 90 degrees two-theta), low angle first:
| 2θ/deg | intensity |
| --- | --- |
| 24.0 | 54.6 |
| 28.9 | 42.1 |
| 29.1 | 90.7 |
| 29.8 | 95.4 |
| 33.4 | 35.6 |
| 33.9 | 70.0 |
| 34.3 | 100.0 |
| 38.0 | 56.6 |
| 59.9 | 31.8 |
| 60.3 | 61.1 |

Cell and atoms:
```
Tb7HoAl5
1.0
-3.0690 5.1447 5.3607
3.0690 -5.1447 5.3607
3.0690 5.1447 -5.3607
Tb Ho Al
7 1 5
direct
0.0000 0.0000 0.0000
0.0158 0.6802 0.3355
0.3347 0.3347 0.0000
0.3447 0.6802 0.6645
0.4720 0.1643 0.3076
0.8567 0.1643 0.6924
0.8971 0.3971 0.5000
0.6587 0.6587 0.0000
0.1861 0.1792 0.5123
0.1861 0.6739 0.0070
0.4313 0.9313 0.5000
0.6669 0.1792 0.9930
0.6669 0.6739 0.4877
```

Record 5
Tl2Pd8Pt: theoretical powder X-ray diffraction pattern (CuKα), based on a crystal structure in Alexandria, relaxed with GGA-PBE.
Peak positions follow from Bragg's law for the DFT cell and can differ from measured ones.

The 10 most intense peaks (10 to 90 degrees two-theta), low angle first:
| 2θ/deg | intensity |
| --- | --- |
| 24.8 | 10.2 |
| 39.1 | 100.0 |
| 44.4 | 17.6 |
| 45.3 | 16.7 |
| 46.5 | 14.4 |
| 65.3 | 11.1 |
| 78.1 | 12.8 |
| 79.4 | 12.5 |
| 81.2 | 10.2 |
| 83.9 | 10.3 |

Cell and atoms:
```
Tl2Pd8Pt
1.0
-2.0019 4.0834 5.8546
2.0019 -4.0834 5.8546
2.0019 4.0834 -5.8546
Tl Pd Pt
2 8 1
direct
0.1532 0.1532 0.0000
0.8468 0.8468 0.0000
0.0879 0.3362 0.7518
0.2599 0.0000 0.2599
0.3316 0.8316 0.5000
0.4156 0.6638 0.7518
0.5844 0.3362 0.2482
0.6684 0.1684 0.5000
0.7401 0.0000 0.7401
0.9121 0.6638 0.2482
0.5000 0.5000 0.0000
```

Record 6
Ba2TiSe3O: theoretical powder X-ray diffraction pattern (CuKα), based on a crystal structure in Alexandria, relaxed with GGA-PBE.
Peak positions follow from Bragg's law for the DFT cell and can differ from measured ones.

The 10 most intense peaks (10 to 90 degrees two-theta), low angle first:
| 2θ/deg | intensity |
| --- | --- |
| 27.2 | 26.3 |
| 28.0 | 87.5 |
| 30.0 | 35.5 |
| 31.6 | 54.3 |
| 34.4 | 58.6 |
| 35.2 | 100.0 |
| 42.7 | 33.9 |
| 45.1 | 26.7 |
| 47.4 | 33.9 |
| 61.9 | 26.1 |

Cell and atoms:
```
Ba2TiSe3O
1.0
4.0196 0.0000 0.0000
0.0000 5.2203 0.0000
0.0000 0.0000 16.9985
Ba Ti Se O
4 2 6 2
direct
0.0000 0.0000 0.1466
0.0000 0.0000 0.8534
0.5000 0.5000 0.3534
0.5000 0.5000 0.6466
0.0000 0.0000 0.5000
0.5000 0.5000 0.0000
0.0000 0.0000 0.3424
0.0000 0.0000 0.6576
0.0000 0.5000 0.5000
0.5000 0.0000 0.0000
0.5000 0.5000 0.1576
0.5000 0.5000 0.8424
0.0000 0.5000 0.0000
0.5000 0.0000 0.5000
```